This entry pairs a crystal structure of KErZnTe3 with its simulated PXRD pattern. Radiation: Cu Kα. Structure: a structure optimized by DFT (GGA-PBE).
Neutral-atom scattering factors, no anomalous dispersion.

Main lines, most intense first (15 to 90 degrees two-theta):
2θ/deg	I (rel.)
27.63	1000
40.91	538
26.89	515
28.20	495
41.26	314
32.79	294
44.58	292
34.57	248

Structural model:
```
KErZnTe3
1.0
9.668 0.000 0.000
0.000 4.376 0.000
-3.356 0.000 9.945
K Er Zn Te
2 2 2 6
Cartesian
1.218 1.094 2.376
5.094 3.282 7.569
0.292 3.282 8.555
6.019 1.094 1.390
-1.235 1.094 6.016
7.546 3.282 3.929
-1.878 1.094 8.575
0.261 3.282 5.345
3.904 3.282 1.634
2.407 1.094 8.311
6.051 1.094 4.600
8.189 3.282 1.370
```